The following is a theoretical powder diffractogram of Cs2Sn2Hg. It was derived from the PBE geometry in Alexandria, using Cu Kα (λ = 1.5418 Å).
Intensities are scaled so that the largest is 100.

Top 8 peaks for 10 to 80 degrees two-theta, sorted by position:
d 5.914, 15.0 deg, rel. 61; d 3.851, 23.1 deg, rel. 95; d 3.741, 23.8 deg, rel. 59; d 3.521, 25.3 deg, rel. 78; d 3.232, 27.6 deg, rel. 100; d 3.208, 27.8 deg, rel. 67; d 3.072, 29.1 deg, rel. 70; d 3.041, 29.4 deg, rel. 58

Crystal structure
```
Cs2Sn2Hg
1.0
7.1430 0.0000 0.0000
2.7107 6.7201 0.0000
1.0112 0.7905 9.9406
Cs Sn Hg
4 4 2
direct
0.1173 0.2593 0.3188
0.2434 0.0964 0.8133
0.7565 0.9036 0.1867
0.8827 0.7407 0.6812
0.2912 0.5689 0.9741
0.4102 0.7085 0.4984
0.5898 0.2915 0.5016
0.7088 0.4311 0.0259
0.3325 0.6868 0.2289
0.6675 0.3132 0.7711
```

***

The following is a theoretical powder diffractogram of Tb2Mg3Tl. It was derived from the PBE geometry in Alexandria, using Cu Kα (λ = 1.5418 Å).
Intensities are scaled so that the largest is 100.

Top 8 peaks for 10 to 80 degrees two-theta, sorted by position:
d 4.429, 20.0 deg, rel. 24; d 4.107, 21.6 deg, rel. 25; d 2.723, 32.9 deg, rel. 100; d 2.564, 35.0 deg, rel. 22; d 2.554, 35.1 deg, rel. 43; d 1.866, 48.8 deg, rel. 23; d 1.505, 61.6 deg, rel. 20; d 1.431, 65.2 deg, rel. 22

Crystal structure
```
Tb2Mg3Tl
1.0
0.0000 5.1283 8.8351
3.4532 0.0000 8.8351
3.4532 5.1283 0.0000
Tb Mg Tl
4 6 2
direct
0.2491 0.7509 0.7509
0.2500 0.2500 0.2500
0.7500 0.7500 0.7500
0.7509 0.2491 0.2491
0.1661 0.6682 0.3318
0.3318 0.8339 0.1661
0.3334 0.3334 0.6666
0.6666 0.6666 0.3334
0.6682 0.1661 0.8339
0.8339 0.3318 0.6682
0.1663 0.1663 0.8337
0.8337 0.8337 0.1663
```